No. 1
Diffraction record for SrCaPrSbO6. The powder diffractogram is computed, not measured: it uses a DFT-relaxed cell (GGA-PBE, the Materials Project) and a wavelength of 1.5418 Å.
No peak broadening, texture or thermal motion is included.

Top 12 peaks for 2θ from 5° to 70°, in order of rising 2θ:
2θ 18.5, I 18
2θ 21.3, I 1
2θ 30.4, I 100
2θ 35.8, I 9
2θ 37.4, I 8
2θ 43.5, I 34
2θ 47.6, I 3
2θ 48.9, I 1
2θ 53.9, I 40
2θ 57.5, I 4
2θ 63.2, I 20
2θ 66.4, I 3

Atomic structure:
```
10
Lattice="0.0000 4.1635 4.1635 4.1635 0.0000 4.1635 4.1635 4.1635 0.0000" Properties=species:S:1:pos:R:3 pbc="T T T"
Sr 0.0000 0.0000 0.0000
Ca 2.0818 2.0818 2.0818
Pr 4.1635 4.1635 4.1635
Sb 6.2453 6.2453 6.2453
O 6.2453 6.2453 4.2718
O 6.2453 4.2718 6.2453
O 8.2188 6.2453 6.2453
O 4.2718 6.2453 6.2453
O 6.2453 8.2188 6.2453
O 6.2453 6.2453 8.2188
```

No. 2
Diffraction record for PaIr3. The powder diffractogram is computed, not measured: it uses a DFT-relaxed cell (GGA-PBE, the Materials Project) and a wavelength of 1.5418 Å.
No peak broadening, texture or thermal motion is included.

Top 5 peaks for 2θ from 5° to 70°, in order of rising 2θ:
2θ 21.7, I 1
2θ 30.9, I 1
2θ 38.1, I 100
2θ 44.3, I 49
2θ 64.5, I 33

Atomic structure:
```
4
Lattice="4.0887 0.0000 0.0000 0.0000 4.0887 0.0000 0.0000 0.0000 4.0887" Properties=species:S:1:pos:R:3 pbc="T T T"
Pa 0.0000 0.0000 0.0000
Ir 0.0000 2.0443 2.0443
Ir 2.0443 0.0000 2.0443
Ir 2.0443 2.0443 0.0000
```

No. 3
Diffraction record for La11In9Ni4. The powder diffractogram is computed, not measured: it uses a DFT-relaxed cell (GGA-PBE, the Materials Project) and a wavelength of 1.5418 Å.
No peak broadening, texture or thermal motion is included.

Top 12 peaks for 2θ from 5° to 70°, in order of rising 2θ:
2θ 29.4, I 13
2θ 30.4, I 11
2θ 31.0, I 12
2θ 31.5, I 13
2θ 33.2, I 100
2θ 33.6, I 38
2θ 35.4, I 16
2θ 36.2, I 12
2θ 36.5, I 15
2θ 47.1, I 18
2θ 54.2, I 10
2θ 59.1, I 15

Atomic structure:
```
24
Lattice="7.5599 -11.3138 0.0000 7.5599 11.3138 0.0000 0.0000 0.0000 3.8601" Properties=species:S:1:pos:R:3 pbc="T T T"
La 0.0000 0.0000 0.0000
La 3.7550 3.8318 0.0000
La 7.5599 7.6475 0.0000
La 4.7301 0.0000 0.0000
La 7.5599 2.8154 0.0000
La 3.7550 -3.8318 0.0000
La 11.3648 3.8318 0.0000
La 7.5599 -2.8154 0.0000
La 10.3897 0.0000 0.0000
La 7.5599 -7.6475 0.0000
La 11.3648 -3.8318 0.0000
In 2.2875 1.5919 1.9301
In 6.0298 5.2959 1.9301
In 2.2875 -1.5919 1.9301
In 9.0901 5.2959 1.9301
In 7.5599 0.0000 1.9301
In 6.0298 -5.2959 1.9301
In 12.8323 1.5919 1.9301
In 9.0901 -5.2959 1.9301
In 12.8323 -1.5919 1.9301
Ni 5.2083 2.3110 1.9301
Ni 5.2083 -2.3110 1.9301
Ni 9.9116 2.3110 1.9301
Ni 9.9116 -2.3110 1.9301
```

No. 4
Diffraction record for Sr2TbSnO6. The powder diffractogram is computed, not measured: it uses a DFT-relaxed cell (GGA-PBE, the Materials Project) and a wavelength of 1.5418 Å.
No peak broadening, texture or thermal motion is included.

Top 12 peaks for 2θ from 5° to 70°, in order of rising 2θ:
2θ 18.1, I 1
2θ 21.0, I 11
2θ 29.8, I 100
2θ 33.4, I 1
2θ 35.1, I 1
2θ 39.8, I 1
2θ 42.7, I 29
2θ 46.7, I 1
2θ 48.0, I 5
2θ 52.9, I 45
2θ 61.9, I 17
2θ 66.2, I 2

Atomic structure:
```
40
Lattice="8.4757 0.0000 0.0000 0.0000 8.4757 0.0000 0.0000 0.0000 8.4757" Properties=species:S:1:pos:R:3 pbc="T T T"
Sr 2.1189 2.1189 2.1189
Sr 2.1189 2.1189 6.3568
Sr 2.1189 6.3568 2.1189
Sr 2.1189 6.3568 6.3568
Sr 6.3568 2.1189 2.1189
Sr 6.3568 2.1189 6.3568
Sr 6.3568 6.3568 2.1189
Sr 6.3568 6.3568 6.3568
Tb 0.0000 0.0000 0.0000
Tb 0.0000 4.2378 4.2378
Tb 4.2378 0.0000 4.2378
Tb 4.2378 4.2378 0.0000
Sn 0.0000 0.0000 4.2378
Sn 0.0000 4.2378 0.0000
Sn 4.2378 0.0000 0.0000
Sn 4.2378 4.2378 4.2378
O 0.2898 4.5804 6.4419
O 0.2898 8.1331 6.2716
O 0.3426 2.0338 4.5276
O 0.3426 2.2041 8.1859
O 2.0338 4.5276 0.3426
O 2.0338 8.1859 3.8953
O 2.2041 4.5276 3.8953
O 2.2041 8.1859 0.3426
O 3.8953 2.0338 8.1859
O 3.8953 2.2041 4.5276
O 3.9481 4.5804 6.2716
O 3.9481 8.1331 6.4419
O 4.5276 0.3426 2.0338
O 4.5276 3.8953 2.2041
O 4.5804 6.2716 3.9481
O 4.5804 6.4419 0.2898
O 6.2716 0.2898 8.1331
O 6.2716 3.9481 4.5804
O 6.4419 0.2898 4.5804
O 6.4419 3.9481 8.1331
O 8.1331 6.2716 0.2898
O 8.1331 6.4419 3.9481
O 8.1859 0.3426 2.2041
O 8.1859 3.8953 2.0338
```

No. 5
Diffraction record for DyAl6Fe6. The powder diffractogram is computed, not measured: it uses a DFT-relaxed cell (GGA-PBE, the Materials Project) and a wavelength of 1.5418 Å.
No peak broadening, texture or thermal motion is included.

Top 12 peaks for 2θ from 5° to 70°, in order of rising 2θ:
2θ 14.6, I 68
2θ 20.5, I 35
2θ 29.2, I 36
2θ 29.4, I 100
2θ 36.3, I 27
2θ 41.7, I 83
2θ 41.8, I 87
2θ 41.9, I 78
2θ 42.1, I 42
2θ 42.3, I 53
2θ 47.0, I 36
2θ 60.9, I 53

Atomic structure:
```
13
Lattice="-2.5060 4.2708 4.3241 2.5060 -4.2708 4.3241 2.5060 4.2708 -4.3241" Properties=species:S:1:pos:R:3 pbc="T T T"
Dy 0.0000 0.0000 0.0000
Al 2.5060 0.0000 1.6622
Al 0.0000 2.8770 0.0000
Al 0.0000 0.0000 2.9957
Al 0.0000 0.0000 5.6525
Al 0.0000 5.6647 0.0000
Al 0.0000 4.2708 2.6619
Fe 1.2530 2.1354 -2.1620
Fe 1.2530 -2.1354 2.1620
Fe 2.5060 2.0495 0.0000
Fe -1.2530 2.1354 2.1620
Fe 1.2530 2.1354 2.1620
Fe 0.0000 2.2213 4.3241
```

No. 6
Diffraction record for Hf4W. The powder diffractogram is computed, not measured: it uses a DFT-relaxed cell (GGA-PBE, the Materials Project) and a wavelength of 1.5418 Å.
No peak broadening, texture or thermal motion is included.

Top 12 peaks for 2θ from 5° to 70°, in order of rising 2θ:
2θ 25.3, I 32
2θ 29.8, I 5
2θ 31.1, I 100
2θ 36.1, I 23
2θ 39.5, I 41
2θ 44.6, I 6
2θ 47.4, I 43
2θ 52.0, I 46
2θ 55.4, I 4
2θ 61.8, I 24
2θ 64.9, I 3
2θ 67.1, I 15

Atomic structure:
```
10
Lattice="0.0000 4.9782 4.9782 4.9782 0.0000 4.9782 4.9782 4.9782 0.0000" Properties=species:S:1:pos:R:3 pbc="T T T"
Hf 7.6682 4.7772 4.7772
Hf 2.2881 2.2881 2.2881
Hf 5.1792 5.1792 2.2881
Hf 5.1792 2.2881 5.1792
Hf 4.7772 7.6682 4.7772
Hf 4.7772 4.7772 7.6682
Hf 7.6682 7.6682 7.6682
Hf 2.2881 5.1792 5.1792
W 3.7336 3.7336 3.7336
W 6.2227 6.2227 6.2227
```

No. 7
Diffraction record for TiInPd2. The powder diffractogram is computed, not measured: it uses a DFT-relaxed cell (GGA-PBE, the Materials Project) and a wavelength of 1.5418 Å.
No peak broadening, texture or thermal motion is included.

Top 12 peaks for 2θ from 5° to 70°, in order of rising 2θ:
2θ 13.8, I 2
2θ 27.2, I 3
2θ 27.7, I 1
2θ 30.6, I 18
2θ 38.9, I 56
2θ 39.3, I 100
2θ 42.2, I 5
2θ 50.9, I 1
2θ 56.2, I 18
2θ 57.3, I 6
2θ 58.7, I 8
2θ 65.4, I 4

Atomic structure:
```
4
Lattice="3.2746 0.0000 0.0000 0.0000 3.2746 0.0000 0.0000 0.0000 6.4312" Properties=species:S:1:pos:R:3 pbc="T T T"
Ti 0.0000 0.0000 0.0000
In 0.0000 0.0000 3.2156
Pd 1.6373 1.6373 1.4164
Pd 1.6373 1.6373 5.0148
```